Starting from a DFT-relaxed cell (PBE+U, Alexandria), the powder diffractogram of Ti3P6WO24 was computed for CuKα.
No peak broadening, texture or thermal motion is included.

Atomic structure:
a b c (Å): 8.917 8.917 8.917
angles (deg): 57.85 57.85 57.85
Positions (direct):
Ti (0.000, 0.000, 0.000)
Ti (0.217, 0.217, 0.217)
Ti (0.717, 0.717, 0.717)
P (0.105, 0.831, 0.387)
P (0.326, 0.610, 0.896)
P (0.387, 0.105, 0.831)
P (0.610, 0.896, 0.326)
P (0.831, 0.387, 0.105)
P (0.896, 0.326, 0.610)
W (0.501, 0.501, 0.501)
O (0.071, 0.289, 0.439)
O (0.098, 0.849, 0.212)
O (0.139, 0.995, 0.361)
O (0.154, 0.791, 0.909)
O (0.212, 0.098, 0.849)
O (0.283, 0.646, 0.427)
O (0.289, 0.439, 0.071)
O (0.359, 0.579, 0.720)
O (0.361, 0.139, 0.995)
O (0.427, 0.283, 0.646)
O (0.439, 0.071, 0.289)
O (0.504, 0.626, 0.864)
O (0.564, 0.933, 0.799)
O (0.579, 0.720, 0.359)
O (0.626, 0.864, 0.504)
O (0.646, 0.427, 0.283)
O (0.720, 0.359, 0.579)
O (0.791, 0.909, 0.154)
O (0.799, 0.564, 0.933)
O (0.849, 0.212, 0.098)
O (0.864, 0.504, 0.626)
O (0.909, 0.154, 0.791)
O (0.933, 0.799, 0.564)
O (0.995, 0.361, 0.139)

Principal peaks in the range 5 to 70 degrees two-theta, in order of falling intensity:
2θ/deg  I/Imax
23.88  100.0
19.94  92.7
14.29  83.2
31.90  70.3
28.82  64.7
20.60  56.9
12.50  42.2
35.68  22.0
36.07  20.6
52.45  19.7
56.45  17.9
48.90  17.9